1.
Structure and simulated powder diffractogram of DyThZn4 (a cell relaxed with GGA-PBE; λ = 1.5418 Å (Cu Kα)).
Peak positions follow from Bragg's law for the DFT cell and can differ from measured ones.

The 12 most intense peaks (2θ = 10–90°), in order of rising 2θ:
| d (Å) | I/Imax |
| --- | --- |
| 3.793 | 12 |
| 3.207 | 39 |
| 2.736 | 100 |
| 2.449 | 52 |
| 2.074 | 36 |
| 1.921 | 26 |
| 1.742 | 14 |
| 1.583 | 27 |
| 1.467 | 12 |
| 1.409 | 19 |
| 1.348 | 10 |
| 1.293 | 19 |

Unit cell a=4.149 b=4.149 c=15.172 alpha=90.00 beta=90.00 gamma=90.00
Space group I-4m2 (No. 119)
Unique sites:
1 Dy 0.000 0.000 0.000 (multiplicity 2)
2 Th 0.000 0.500 0.750 (multiplicity 2)
3 Zn 0.000 0.000 0.419 (multiplicity 4)
4 Zn 0.000 0.500 0.167 (multiplicity 4)

2.
Structure and simulated powder diffractogram of TbMn2Al10 (a cell relaxed with GGA-PBE; λ = 1.5418 Å (Cu Kα)).
Peak positions follow from Bragg's law for the DFT cell and can differ from measured ones.

The 12 most intense peaks (2θ = 10–90°), in order of rising 2θ:
| d (Å) | I/Imax |
| --- | --- |
| 6.750 | 35 |
| 5.411 | 40 |
| 4.450 | 26 |
| 3.759 | 27 |
| 3.189 | 39 |
| 3.162 | 38 |
| 2.600 | 44 |
| 2.427 | 36 |
| 2.263 | 30 |
| 2.249 | 100 |
| 2.223 | 85 |
| 1.581 | 21 |

Unit cell a=8.990 b=10.221 c=9.053 alpha=90.00 beta=90.00 gamma=90.00
Space group Cmcm (No. 63)
Unique sites:
1 Tb 0.000 0.127 0.250 (multiplicity 4)
2 Mn 0.250 0.250 0.000 (multiplicity 8)
3 Al 0.000 0.156 0.596 (multiplicity 8)
4 Al 0.000 0.374 0.044 (multiplicity 8)
5 Al 0.153 0.371 0.750 (multiplicity 8)
6 Al 0.227 0.361 0.250 (multiplicity 8)
7 Al 0.229 0.000 0.000 (multiplicity 8)

3.
Structure and simulated powder diffractogram of SiSCl (a cell relaxed with GGA-PBE; λ = 1.5418 Å (Cu Kα)).
Peak positions follow from Bragg's law for the DFT cell and can differ from measured ones.

The 12 most intense peaks (2θ = 10–90°), in order of rising 2θ:
| d (Å) | I/Imax |
| --- | --- |
| 6.642 | 61 |
| 6.439 | 79 |
| 5.270 | 85 |
| 3.776 | 100 |
| 3.275 | 16 |
| 3.220 | 36 |
| 3.119 | 37 |
| 2.922 | 43 |
| 2.708 | 33 |
| 1.896 | 18 |
| 1.880 | 15 |
| 1.819 | 15 |

Unit cell a=4.577 b=6.777 c=6.853 alpha=75.91 beta=84.83 gamma=77.54
Space group P-1 (No. 2)
Unique sites:
1 Si 0.234 0.442 0.077 (multiplicity 2)
2 S 0.423 0.695 0.114 (multiplicity 2)
3 Cl 0.168 0.239 0.346 (multiplicity 2)

4.
Structure and simulated powder diffractogram of MnFe2As (a cell relaxed with GGA-PBE; λ = 1.5418 Å (Cu Kα)).
Peak positions follow from Bragg's law for the DFT cell and can differ from measured ones.

The 11 most intense peaks (2θ = 10–90°), in order of rising 2θ:
| d (Å) | I/Imax |
| --- | --- |
| 3.463 | 1 |
| 3.056 | 1 |
| 2.119 | 100 |
| 1.970 | 20 |
| 1.928 | 18 |
| 1.657 | 11 |
| 1.378 | 11 |
| 1.268 | 9 |
| 1.257 | 8 |
| 1.164 | 13 |
| 1.146 | 12 |

Unit cell a=3.315 b=3.855 c=7.881 alpha=90.00 beta=90.00 gamma=90.00
Space group Immm (No. 71)
Unique sites:
1 Mn 0.000 0.000 0.000 (multiplicity 2)
2 Fe 0.000 0.500 0.250 (multiplicity 4)
3 As 0.000 0.000 0.500 (multiplicity 2)

5.
Structure and simulated powder diffractogram of HgIF5 (a cell relaxed with GGA-PBE; λ = 1.5418 Å (Cu Kα)).
Peak positions follow from Bragg's law for the DFT cell and can differ from measured ones.

The 12 most intense peaks (2θ = 10–90°), in order of rising 2θ:
| d (Å) | I/Imax |
| --- | --- |
| 5.896 | 46 |
| 5.701 | 26 |
| 4.093 | 79 |
| 4.060 | 31 |
| 3.909 | 100 |
| 3.871 | 42 |
| 3.744 | 28 |
| 3.260 | 22 |
| 3.070 | 27 |
| 2.943 | 25 |
| 2.070 | 21 |
| 1.956 | 21 |

Unit cell a=6.193 b=6.652 c=8.270 alpha=107.93 beta=105.13 gamma=101.31
Space group P1 (No. 1)
Unique sites:
1 Hg 0.000 0.000 0.000 (multiplicity 1)
2 Hg 0.349 0.838 0.580 (multiplicity 1)
3 I 0.189 0.367 0.734 (multiplicity 1)
4 I 0.639 0.443 0.261 (multiplicity 1)
5 F 0.035 0.378 0.920 (multiplicity 1)
6 F 0.089 0.644 0.760 (multiplicity 1)
7 F 0.214 0.084 0.802 (multiplicity 1)
8 F 0.288 0.496 0.533 (multiplicity 1)
9 F 0.334 0.150 0.200 (multiplicity 1)
10 F 0.389 0.157 0.574 (multiplicity 1)
11 F 0.493 0.694 0.317 (multiplicity 1)
12 F 0.662 0.837 0.831 (multiplicity 1)
13 F 0.829 0.230 0.215 (multiplicity 1)
14 F 0.924 0.679 0.311 (multiplicity 1)

6.
Structure and simulated powder diffractogram of LuBe4Ru (a cell relaxed with GGA-PBE; λ = 1.5418 Å (Cu Kα)).
Peak positions follow from Bragg's law for the DFT cell and can differ from measured ones.

The 12 most intense peaks (2θ = 10–90°), in order of rising 2θ:
| d (Å) | I/Imax |
| --- | --- |
| 3.771 | 100 |
| 3.265 | 7 |
| 2.309 | 88 |
| 1.969 | 65 |
| 1.885 | 2 |
| 1.633 | 13 |
| 1.498 | 22 |
| 1.460 | 3 |
| 1.333 | 30 |
| 1.257 | 20 |
| 1.154 | 11 |
| 1.104 | 17 |

Unit cell a=6.531 b=6.531 c=6.531 alpha=90.00 beta=90.00 gamma=90.00
Space group F-43m (No. 216)
Unique sites:
1 Lu 0.000 0.000 0.000 (multiplicity 4)
2 Be 0.122 0.122 0.622 (multiplicity 16)
3 Ru 0.250 0.250 0.250 (multiplicity 4)

7.
Structure and simulated powder diffractogram of K3Tm3PaTe8 (a cell relaxed with GGA-PBE; λ = 1.5418 Å (Cu Kα)).
Peak positions follow from Bragg's law for the DFT cell and can differ from measured ones.

The 12 most intense peaks (2θ = 10–90°), in order of rising 2θ:
| d (Å) | I/Imax |
| --- | --- |
| 8.364 | 69 |
| 3.788 | 12 |
| 3.270 | 100 |
| 2.618 | 25 |
| 2.427 | 35 |
| 2.212 | 36 |
| 2.139 | 15 |
| 1.960 | 16 |
| 1.832 | 19 |
| 1.520 | 11 |
| 1.411 | 16 |
| 1.334 | 11 |

Unit cell a=8.8492 b=8.8492 c=25.0917 alpha=90.00 beta=90.00 gamma=120.00
Space group R-3m (No. 166, hexagonal axes)
Unique sites:
1 K 0.0000 0.5000 0.0000 (multiplicity 9)
2 Tm 0.0000 0.5000 0.5000 (multiplicity 9)
3 Pa 0.0000 0.0000 0.5000 (multiplicity 3)
4 Te 0.0000 0.0000 0.2350 (multiplicity 6)
5 Te 0.0050 0.5025 0.7646 (multiplicity 18)

8.
Structure and simulated powder diffractogram of ErTm3Se4 (a cell relaxed with GGA-PBE; λ = 1.5418 Å (Cu Kα)).
Peak positions follow from Bragg's law for the DFT cell and can differ from measured ones.

The 10 most intense peaks (2θ = 10–90°), in order of rising 2θ:
| d (Å) | I/Imax |
| --- | --- |
| 3.284 | 24 |
| 2.844 | 100 |
| 2.011 | 74 |
| 1.715 | 12 |
| 1.642 | 26 |
| 1.422 | 12 |
| 1.305 | 5 |
| 1.272 | 33 |
| 1.161 | 25 |
| 1.095 | 4 |

Unit cell a=5.688 b=5.688 c=5.688 alpha=90.00 beta=90.00 gamma=90.00
Space group Pm-3m (No. 221)
Unique sites:
1 Er 0.000 0.000 0.000 (multiplicity 1)
2 Tm 0.000 0.500 0.500 (multiplicity 3)
3 Se 0.000 0.000 0.500 (multiplicity 3)
4 Se 0.500 0.500 0.500 (multiplicity 1)

Question: Which formula does entry 4 have?
Answer: MnFe2As

Copy entry 6 word for word.
Structure and simulated powder diffractogram of LuBe4Ru (a cell relaxed with GGA-PBE; λ = 1.5418 Å (Cu Kα)).
Peak positions follow from Bragg's law for the DFT cell and can differ from measured ones.

The 12 most intense peaks (2θ = 10–90°), in order of rising 2θ:
| d (Å) | I/Imax |
| --- | --- |
| 3.771 | 100 |
| 3.265 | 7 |
| 2.309 | 88 |
| 1.969 | 65 |
| 1.885 | 2 |
| 1.633 | 13 |
| 1.498 | 22 |
| 1.460 | 3 |
| 1.333 | 30 |
| 1.257 | 20 |
| 1.154 | 11 |
| 1.104 | 17 |

Unit cell a=6.531 b=6.531 c=6.531 alpha=90.00 beta=90.00 gamma=90.00
Space group F-43m (No. 216)
Unique sites:
1 Lu 0.000 0.000 0.000 (multiplicity 4)
2 Be 0.122 0.122 0.622 (multiplicity 16)
3 Ru 0.250 0.250 0.250 (multiplicity 4)